Structure and theoretical powder diffractogram of DyNiIr (a DFT-relaxed cell (PBE, Alexandria); Cu Kα, 1.54184 Å).

Crystal structure
```
data_DyNiIr
_symmetry_space_group_name_H-M 'I m m a'
_symmetry_Int_Tables_number 74
_symmetry_space_group_name_Hall '-I 2b 2'
_cell_length_a 5.072
_cell_length_b 5.391
_cell_length_c 7.337
_cell_angle_alpha 90.00
_cell_angle_beta 90.00
_cell_angle_gamma 90.00
loop_
_atom_site_label
_atom_site_fract_x
_atom_site_fract_y
_atom_site_fract_z
_atom_site_occupancy
Dy1 0.000 0.250 0.122 1
Ni1 0.250 0.250 0.750 1
Ir1 0.000 0.000 0.500 1
```

Peak list (10 most intense, 2θ = 10–90°, low angle first)
2θ 34.45, I = 410
2θ 35.39, I = 299
2θ 39.81, I = 1000
2θ 40.50, I = 174
2θ 40.97, I = 439
2θ 41.22, I = 304
2θ 41.57, I = 296
2θ 43.38, I = 285
2θ 66.52, I = 223
2θ 72.64, I = 313